# 1
# NbNi12Sb3
Computed X-ray powder pattern, copper Kα. Input: DFT lattice parameters and positions (GGA-PBE).

The 10 most intense peaks (15° ≤ 2θ ≤ 90°), by intensity:
- 2θ = 42.04°, intensity 100
- 2θ = 48.94°, intensity 47
- 2θ = 86.77°, intensity 33
- 2θ = 71.72°, intensity 28
- 2θ = 23.91°, intensity 9
- 2θ = 34.06°, intensity 7
- 2θ = 55.18°, intensity 4
- 2θ = 60.97°, intensity 3
- 2θ = 76.82°, intensity 2
- 2θ = 81.83°, intensity 1

Structural model:
```
NbNi12Sb3
1.0
3.722 0.000 0.000
0.000 3.722 0.000
0.000 0.000 14.889
Nb Ni Sb
1 12 3
Direct
0.000 0.000 0.000
0.000 0.500 0.120
0.000 0.500 0.374
0.000 0.500 0.626
0.000 0.500 0.880
0.500 0.000 0.120
0.500 0.000 0.374
0.500 0.000 0.626
0.500 0.000 0.880
0.500 0.500 0.000
0.500 0.500 0.248
0.500 0.500 0.500
0.500 0.500 0.752
0.000 0.000 0.250
0.000 0.000 0.500
0.000 0.000 0.750
```

# 2
# ScNb2Ni9
Computed X-ray powder pattern, copper Kα. Input: DFT lattice parameters and positions (GGA-PBE).

The 10 most intense peaks (15° ≤ 2θ ≤ 90°), by intensity:
- 2θ = 44.45°, intensity 100
- 2θ = 48.10°, intensity 40
- 2θ = 37.71°, intensity 31
- 2θ = 44.00°, intensity 30
- 2θ = 47.84°, intensity 25
- 2θ = 46.59°, intensity 22
- 2θ = 80.54°, intensity 22
- 2θ = 37.51°, intensity 21
- 2θ = 72.78°, intensity 19
- 2θ = 34.37°, intensity 18

Structural model:
```
ScNb2Ni9
1.0
2.385 1.377 7.852
-2.385 1.377 7.852
0.000 -2.754 7.852
Sc Nb Ni
1 2 9
Direct
0.000 0.000 0.000
0.140 0.140 0.140
0.860 0.860 0.860
0.081 0.588 0.588
0.334 0.334 0.334
0.412 0.412 0.919
0.412 0.919 0.412
0.500 0.500 0.500
0.588 0.081 0.588
0.588 0.588 0.081
0.666 0.666 0.666
0.919 0.412 0.412
```

# 3
# Nb2SiNi3
Computed X-ray powder pattern, copper Kα. Input: DFT lattice parameters and positions (GGA-PBE).

The 10 most intense peaks (15° ≤ 2θ ≤ 90°), by intensity:
- 2θ = 43.99°, intensity 100
- 2θ = 41.19°, intensity 94
- 2θ = 44.53°, intensity 91
- 2θ = 36.90°, intensity 36
- 2θ = 69.39°, intensity 36
- 2θ = 76.64°, intensity 35
- 2θ = 42.86°, intensity 27
- 2θ = 78.53°, intensity 26
- 2θ = 31.47°, intensity 24
- 2θ = 71.40°, intensity 22

Structural model:
```
Nb2SiNi3
1.0
4.872 0.000 0.000
-2.436 4.220 0.000
0.000 0.000 7.694
Nb Si Ni
4 2 6
Direct
0.333 0.667 0.059
0.333 0.667 0.441
0.667 0.333 0.559
0.667 0.333 0.941
0.000 0.000 0.000
0.000 0.000 0.500
0.169 0.338 0.750
0.169 0.831 0.750
0.338 0.169 0.250
0.662 0.831 0.750
0.831 0.169 0.250
0.831 0.662 0.250
```

# 4
# NbSiNi3
Computed X-ray powder pattern, copper Kα. Input: DFT lattice parameters and positions (GGA-PBE).

The 10 most intense peaks (15° ≤ 2θ ≤ 90°), by intensity:
- 2θ = 42.36°, intensity 100
- 2θ = 47.16°, intensity 83
- 2θ = 44.48°, intensity 64
- 2θ = 47.52°, intensity 56
- 2θ = 34.91°, intensity 53
- 2θ = 43.98°, intensity 43
- 2θ = 37.99°, intensity 38
- 2θ = 34.75°, intensity 37
- 2θ = 81.22°, intensity 21
- 2θ = 53.22°, intensity 20

Structural model:
```
NbSiNi3
1.0
-2.343 3.314 4.118
2.343 -3.314 4.118
2.343 3.314 -4.118
Nb Si Ni
2 2 6
Direct
0.255 0.005 0.250
0.745 0.995 0.750
0.000 0.500 0.500
0.500 0.500 0.000
0.184 0.000 0.684
0.184 0.500 0.184
0.431 0.681 0.750
0.569 0.319 0.250
0.816 0.000 0.316
0.816 0.500 0.816
```

# 5
# Nb3SiNi2
Computed X-ray powder pattern, copper Kα. Input: DFT lattice parameters and positions (GGA-PBE).

The 10 most intense peaks (15° ≤ 2θ ≤ 90°), by intensity:
- 2θ = 41.81°, intensity 100
- 2θ = 39.31°, intensity 42
- 2θ = 45.71°, intensity 34
- 2θ = 71.27°, intensity 34
- 2θ = 31.88°, intensity 18
- 2θ = 86.19°, intensity 16
- 2θ = 63.66°, intensity 12
- 2θ = 34.83°, intensity 9
- 2θ = 72.97°, intensity 9
- 2θ = 48.66°, intensity 8

Structural model:
```
Nb3SiNi2
1.0
0.000 5.614 5.614
5.614 0.000 5.614
5.614 5.614 0.000
Nb Si Ni
12 4 8
Direct
0.077 0.077 0.673
0.077 0.673 0.077
0.077 0.673 0.673
0.327 0.327 0.923
0.327 0.923 0.327
0.327 0.923 0.923
0.673 0.077 0.077
0.673 0.077 0.673
0.673 0.673 0.077
0.923 0.327 0.327
0.923 0.327 0.923
0.923 0.923 0.327
0.000 0.500 0.500
0.500 0.000 0.500
0.500 0.500 0.000
0.500 0.500 0.500
0.293 0.293 0.293
0.293 0.293 0.622
0.293 0.622 0.293
0.378 0.707 0.707
0.622 0.293 0.293
0.707 0.378 0.707
0.707 0.707 0.378
0.707 0.707 0.707
```

# 6
# NbNi15Sn4
Computed X-ray powder pattern, copper Kα. Input: DFT lattice parameters and positions (GGA-PBE).

The 10 most intense peaks (15° ≤ 2θ ≤ 90°), by intensity:
- 2θ = 42.04°, intensity 100
- 2θ = 48.87°, intensity 32
- 2θ = 86.67°, intensity 24
- 2θ = 71.76°, intensity 19
- 2θ = 49.05°, intensity 16
- 2θ = 86.94°, intensity 11
- 2θ = 71.61°, intensity 10
- 2θ = 23.90°, intensity 9
- 2θ = 34.06°, intensity 7
- 2θ = 55.12°, intensity 3

Structural model:
```
NbNi15Sn4
1.0
3.727 0.000 0.000
0.000 3.727 0.000
0.000 0.000 18.571
Nb Ni Sn
1 15 4
Direct
0.000 0.000 0.000
0.000 0.500 0.096
0.000 0.500 0.299
0.000 0.500 0.500
0.000 0.500 0.701
0.000 0.500 0.904
0.500 0.000 0.096
0.500 0.000 0.299
0.500 0.000 0.500
0.500 0.000 0.701
0.500 0.000 0.904
0.500 0.500 0.000
0.500 0.500 0.197
0.500 0.500 0.399
0.500 0.500 0.601
0.500 0.500 0.803
0.000 0.000 0.199
0.000 0.000 0.400
0.000 0.000 0.600
0.000 0.000 0.801
```

# 7
# Sr2NbNi
Computed X-ray powder pattern, copper Kα. Input: DFT lattice parameters and positions (GGA-PBE).

The 10 most intense peaks (15° ≤ 2θ ≤ 90°), by intensity:
- 2θ = 26.01°, intensity 100
- 2θ = 35.66°, intensity 88
- 2θ = 15.74°, intensity 76
- 2θ = 25.01°, intensity 63
- 2θ = 31.79°, intensity 41
- 2θ = 46.49°, intensity 36
- 2θ = 40.23°, intensity 34
- 2θ = 52.16°, intensity 26
- 2θ = 57.42°, intensity 23
- 2θ = 38.17°, intensity 21

Structural model:
```
Sr2NbNi
1.0
-5.630 5.630 2.336
5.630 -5.630 2.336
5.630 5.630 -2.336
Sr Nb Ni
4 2 2
Direct
0.375 0.208 0.333
0.792 0.125 0.167
0.875 0.042 0.667
0.958 0.625 0.833
0.250 0.750 0.500
0.500 0.500 0.000
0.000 0.000 0.000
0.750 0.250 0.500
```

# 8
# TaNb6Ni
Computed X-ray powder pattern, copper Kα. Input: DFT lattice parameters and positions (GGA-PBE).

The 10 most intense peaks (15° ≤ 2θ ≤ 90°), by intensity:
- 2θ = 38.59°, intensity 100
- 2θ = 42.44°, intensity 91
- 2θ = 67.13°, intensity 46
- 2θ = 34.38°, intensity 41
- 2θ = 64.36°, intensity 16
- 2θ = 16.99°, intensity 14
- 2θ = 85.20°, intensity 13
- 2θ = 87.75°, intensity 11
- 2θ = 72.41°, intensity 11
- 2θ = 82.68°, intensity 8

Structural model:
```
TaNb6Ni
1.0
5.211 0.000 0.000
0.000 5.219 0.000
0.000 0.000 5.222
Ta Nb Ni
1 6 1
Direct
0.000 0.000 0.000
0.000 0.500 0.253
0.000 0.500 0.747
0.253 0.000 0.500
0.500 0.253 0.000
0.500 0.747 0.000
0.747 0.000 0.500
0.500 0.500 0.500
```

Which formula does entry 2 have? ScNb2Ni9